For UBeC, a structure optimized by DFT (PBE) gives the simulated powder diffraction line list in this record (Cu Kα (weighted mean of Kα1 and Kα2)).
Intensities are scaled so that the largest is 100.

Top 10 peaks for 10° ≤ 2θ ≤ 90°, in order of rising 2θ:
hkl 0 0 1, 2θ = 22.2°, I 58; hkl 1 0 0, 2θ = 33.2°, I 72; hkl 1 0 1, 2θ = 40.3°, I 100; hkl 0 0 2, 2θ = 45.3°, I 13; hkl 1 0 2, 2θ = 57.3°, I 32; hkl 1 1 0, 2θ = 59.4°, I 17; hkl 1 1 1, 2θ = 64.2°, I 22; hkl 2 0 1, 2θ = 74.3°, I 18; hkl 1 1 2, 2θ = 77.7°, I 17; hkl 1 0 3, 2θ = 80.2°, I 15

```
data_UBeC
_space_group_name_H-M_alt 'P -6 m 2'
_space_group_IT_number 187
_space_group_name_Hall 'P -6 2'
_cell_length_a 3.1116
_cell_length_b 3.1116
_cell_length_c 4.0065
_cell_angle_alpha 90.00
_cell_angle_beta 90.00
_cell_angle_gamma 120.00
loop_
_atom_site_label
_atom_site_fract_x
_atom_site_fract_y
_atom_site_fract_z
U1 0.0000 0.0000 0.0000
Be1 0.6667 0.3333 0.5000
C1 0.3333 0.6667 0.5000
```